Computed powder diffractogram of PrErS2O for λ = 1.5418 Å (Cu Kα), from a PBE-relaxed structure.
Peak positions follow from Bragg's law for the DFT cell and can differ from measured ones.

Structure:
```
data_PrErS2O
_cell_length_a 3.9473
_cell_length_b 3.9473
_cell_length_c 13.9507
_cell_angle_alpha 90.00
_cell_angle_beta 90.00
_cell_angle_gamma 90.00
_space_group_name_H-M_alt 'P 4/n m m'
_space_group_IT_number 129
loop_
_space_group_symop_operation_xyz
'x,y,z'
'-x,-y,-z'
'-y+1/2,x,z'
'y+1/2,-x,-z'
'-x+1/2,-y+1/2,z'
'x+1/2,y+1/2,-z'
'y,-x+1/2,z'
'-y,x+1/2,-z'
'x+1/2,-y,-z'
'-x+1/2,y,z'
'-y,-x,-z'
'y,x,z'
'-x,y+1/2,-z'
'x,-y+1/2,z'
'y+1/2,x+1/2,-z'
'-y+1/2,-x+1/2,z'
loop_
_atom_site_label
_atom_site_fract_x
_atom_site_fract_y
_atom_site_fract_z
_atom_site_occupancy
Pr1 0.2500 0.2500 0.0906 1
Er1 0.2500 0.2500 0.6193 1
S1 0.2500 0.2500 0.4103 1
S2 0.2500 0.2500 0.7967 1
O1 0.2500 0.7500 0.0000 1
```

Largest 6 diffraction maxima, sorted by position, 2θ = 5–70°:
two_theta, I (rel.), h k l
25.5, 27, 0 0 4
25.9, 100, 1 0 2
32.1, 64, 1 1 0
41.4, 38, 1 1 4
46.0, 28, 2 0 0
53.5, 29, 2 1 2